The following is a computed powder diffraction line list of KMgV3Cu4O13. It was derived from a structure optimized by DFT (PBE+U), using Cu Kα (λ = 1.5418 Å).

The 8 most intense peaks (2θ = 10–90°), by intensity:
| d/Å | I/Imax |
| --- | --- |
| 2.652 | 100 |
| 2.799 | 87 |
| 8.286 | 71 |
| 2.580 | 62 |
| 2.025 | 47 |
| 3.040 | 45 |
| 2.762 | 45 |
| 1.520 | 39 |

Structural model:
```
data_KMgV3Cu4O13
_space_group_name_H-M_alt 'P 1'
_space_group_IT_number 1
_cell_length_a 8.3739
_cell_length_b 6.0802
_cell_length_c 10.9724
_cell_angle_alpha 90.00
_cell_angle_beta 98.32
_cell_angle_gamma 90.00
loop_
_space_group_symop_operation_xyz
'x,y,z'
loop_
_atom_site_label
_atom_site_fract_x
_atom_site_fract_y
_atom_site_fract_z
_atom_site_occupancy
K1 0.0190 0.2500 0.4000 1
K2 0.9810 0.7500 0.6000 1
Mg1 0.3081 0.2500 0.6448 1
Mg2 0.6919 0.7500 0.3552 1
V1 0.0306 0.7500 0.2092 1
V2 0.3234 0.7500 0.8701 1
V3 0.3665 0.7500 0.5035 1
V4 0.6335 0.2500 0.4965 1
V5 0.6766 0.2500 0.1299 1
V6 0.9694 0.2500 0.7908 1
Cu1 0.0989 0.2500 0.1047 1
Cu2 0.3559 0.2500 0.9431 1
Cu3 0.3925 0.0011 0.2314 1
Cu4 0.3925 0.4989 0.2314 1
Cu5 0.6075 0.5011 0.7686 1
Cu6 0.6075 0.9989 0.7686 1
Cu7 0.6441 0.7500 0.0569 1
Cu8 0.9011 0.7500 0.8953 1
O1 0.0714 0.2500 0.6681 1
O2 0.1163 0.2500 0.9255 1
O3 0.1204 0.7500 0.8666 1
O4 0.1582 0.5168 0.2208 1
O5 0.1582 0.9832 0.2208 1
O6 0.2566 0.5197 0.5289 1
O7 0.2566 0.9803 0.5289 1
O8 0.3425 0.2500 0.1218 1
O9 0.3783 0.0031 0.7983 1
O10 0.3783 0.4969 0.7983 1
O11 0.4097 0.7500 0.0234 1
O12 0.4369 0.7500 0.3429 1
O13 0.4656 0.2500 0.3898 1
O14 0.5344 0.7500 0.6102 1
O15 0.5631 0.2500 0.6571 1
O16 0.5903 0.2500 0.9766 1
O17 0.6217 0.5031 0.2017 1
O18 0.6217 0.9969 0.2017 1
O19 0.6575 0.7500 0.8782 1
O20 0.7434 0.0197 0.4711 1
O21 0.7434 0.4803 0.4711 1
O22 0.8418 0.0168 0.7792 1
O23 0.8418 0.4832 0.7792 1
O24 0.8796 0.2500 0.1334 1
O25 0.8837 0.7500 0.0745 1
O26 0.9286 0.7500 0.3319 1
```